No. 1
For Tb6PuHg5, a DFT-relaxed cell (PBE, Alexandria) gives the theoretical PXRD pattern in this record (Cu Kα (λ = 1.5418 Å)).
Kinematic intensities with the Lorentz-polarization factor, no thermal factor.

Crystal structure
Cell lengths 9.131, 9.131, 9.131 Å; angles 146.65, 130.06, 61.38 degrees
Atoms (fractional coordinates):
Tb (0.081, 0.332, 0.748)
Tb (0.233, 0.000, 0.233)
Tb (0.416, 0.668, 0.748)
Tb (0.584, 0.332, 0.252)
Tb (0.767, 0.000, 0.767)
Tb (0.919, 0.668, 0.252)
Pu (0.500, 0.500, 0.000)
Hg (0.000, 0.500, 0.500)
Hg (0.171, 0.171, 0.000)
Hg (0.345, 0.845, 0.500)
Hg (0.655, 0.155, 0.500)
Hg (0.829, 0.829, 0.000)

Most intense lines, 2θ = 10–80°, most intense first:
| d/Å | intensity |
| --- | --- |
| 2.670 | 100 |
| 2.619 | 47 |
| 1.522 | 35 |
| 1.552 | 19 |
| 1.852 | 17 |
| 1.335 | 11 |
| 1.927 | 10 |
| 1.214 | 8 |
| 1.309 | 5 |
| 3.703 | 2 |



No. 2
For SmTh2Sc5, a DFT-relaxed cell (PBE, Alexandria) gives the theoretical PXRD pattern in this record (Cu Kα (λ = 1.5418 Å)).
Kinematic intensities with the Lorentz-polarization factor, no thermal factor.

Crystal structure
Cell lengths 7.244, 7.244, 7.244 Å; angles 138.06, 101.15, 93.60 degrees
Atoms (fractional coordinates):
Sm (0.000, 0.000, 0.000)
Th (0.190, 0.690, 0.500)
Th (0.810, 0.310, 0.500)
Sc (0.169, 0.331, 0.838)
Sc (0.494, 0.331, 0.162)
Sc (0.500, 0.000, 0.500)
Sc (0.506, 0.669, 0.838)
Sc (0.831, 0.669, 0.162)

Most intense lines, 2θ = 10–80°, most intense first:
| d/Å | intensity |
| --- | --- |
| 2.788 | 100 |
| 4.601 | 91 |
| 3.340 | 76 |
| 6.746 | 62 |
| 2.384 | 57 |
| 2.330 | 55 |
| 2.593 | 46 |
| 2.640 | 39 |
| 4.517 | 32 |
| 2.259 | 29 |



No. 3
For CeHoSbO2, a DFT-relaxed cell (PBE, Alexandria) gives the theoretical PXRD pattern in this record (Cu Kα (λ = 1.5418 Å)).
Kinematic intensities with the Lorentz-polarization factor, no thermal factor.

Crystal structure
Cell lengths 7.008, 7.008, 7.008 Å; angles 147.50, 147.50, 46.62 degrees
Atoms (fractional coordinates):
Ce (0.000, 0.000, 0.000)
Ho (0.319, 0.319, 0.000)
Sb (0.659, 0.659, 0.000)
O (0.406, 0.906, 0.500)
O (0.906, 0.406, 0.500)

Most intense lines, 2θ = 10–80°, most intense first:
| d/Å | intensity |
| --- | --- |
| 2.895 | 100 |
| 2.773 | 38 |
| 1.624 | 36 |
| 1.697 | 23 |
| 1.961 | 19 |
| 1.447 | 10 |
| 2.145 | 9 |
| 1.344 | 9 |
| 1.251 | 7 |
| 1.240 | 7 |



No. 4
For Sc6TlCo, a DFT-relaxed cell (PBE, Alexandria) gives the theoretical PXRD pattern in this record (Cu Kα (λ = 1.5418 Å)).
Kinematic intensities with the Lorentz-polarization factor, no thermal factor.

Crystal structure
Cell lengths 6.321, 6.338, 6.867 Å; angles 90.16, 117.21, 119.89 degrees
Atoms (fractional coordinates):
Sc (0.064, 0.085, 0.263)
Sc (0.284, 0.698, 0.262)
Sc (0.321, 0.520, 0.738)
Sc (0.679, 0.480, 0.262)
Sc (0.716, 0.302, 0.738)
Sc (0.936, 0.915, 0.737)
Tl (0.500, 0.000, 0.000)
Co (0.500, 0.500, 0.500)

Most intense lines, 2θ = 10–80°, most intense first:
| d/Å | intensity |
| --- | --- |
| 4.646 | 100 |
| 3.418 | 73 |
| 2.782 | 62 |
| 2.146 | 46 |
| 2.619 | 29 |
| 2.140 | 23 |
| 2.019 | 22 |
| 5.233 | 19 |
| 2.948 | 19 |
| 2.711 | 18 |



No. 5
For DyMgI6, a DFT-relaxed cell (PBE, Alexandria) gives the theoretical PXRD pattern in this record (Cu Kα (λ = 1.5418 Å)).
Kinematic intensities with the Lorentz-polarization factor, no thermal factor.

Crystal structure
Cell lengths 8.263, 8.263, 7.468 Å; angles 99.98, 99.98, 125.95 degrees
Atoms (fractional coordinates):
Dy (0.000, 0.000, 0.000)
Mg (0.500, 0.500, 0.500)
I (0.146, 0.426, 0.235)
I (0.192, 0.192, 0.699)
I (0.426, 0.146, 0.235)
I (0.574, 0.854, 0.765)
I (0.808, 0.808, 0.301)
I (0.854, 0.574, 0.765)

Most intense lines, 2θ = 10–80°, most intense first:
| d/Å | intensity |
| --- | --- |
| 3.175 | 100 |
| 7.361 | 65 |
| 3.853 | 58 |
| 3.112 | 50 |
| 5.732 | 36 |
| 2.217 | 33 |
| 4.007 | 29 |
| 2.228 | 26 |
| 3.451 | 24 |
| 3.593 | 23 |



No. 6
For LiNd12Cd6, a DFT-relaxed cell (PBE, Alexandria) gives the theoretical PXRD pattern in this record (Cu Kα (λ = 1.5418 Å)).
Kinematic intensities with the Lorentz-polarization factor, no thermal factor.

Crystal structure
Cell lengths 8.257, 8.257, 8.257 Å; angles 87.89, 87.89, 87.89 degrees
Atoms (fractional coordinates):
Li (0.000, 0.000, 0.000)
Nd (0.029, 0.380, 0.153)
Nd (0.153, 0.029, 0.380)
Nd (0.193, 0.558, 0.470)
Nd (0.380, 0.153, 0.029)
Nd (0.442, 0.530, 0.807)
Nd (0.470, 0.193, 0.558)
Nd (0.530, 0.807, 0.442)
Nd (0.558, 0.470, 0.193)
Nd (0.620, 0.847, 0.971)
Nd (0.807, 0.442, 0.530)
Nd (0.847, 0.971, 0.620)
Nd (0.971, 0.620, 0.847)
Cd (0.106, 0.253, 0.745)
Cd (0.253, 0.745, 0.106)
Cd (0.255, 0.894, 0.747)
Cd (0.745, 0.106, 0.253)
Cd (0.747, 0.255, 0.894)
Cd (0.894, 0.747, 0.255)

Most intense lines, 2θ = 10–80°, most intense first:
| d/Å | intensity |
| --- | --- |
| 2.706 | 100 |
| 2.636 | 78 |
| 2.840 | 53 |
| 2.749 | 51 |
| 2.580 | 42 |
| 1.513 | 25 |
| 3.636 | 19 |
| 1.628 | 19 |
| 3.308 | 18 |
| 2.544 | 18 |



No. 7
For Na5B7C3, a DFT-relaxed cell (PBE, Alexandria) gives the theoretical PXRD pattern in this record (Cu Kα (λ = 1.5418 Å)).
Kinematic intensities with the Lorentz-polarization factor, no thermal factor.

Crystal structure
Cell lengths 8.566, 7.689, 7.689 Å; angles 142.09, 90.00, 90.00 degrees
Atoms (fractional coordinates):
Na (0.246, 0.000, 0.000)
Na (0.247, 0.197, 0.798)
Na (0.247, 0.399, 0.599)
Na (0.247, 0.599, 0.399)
Na (0.247, 0.798, 0.197)
Na (0.753, 0.197, 0.798)
Na (0.753, 0.399, 0.599)
Na (0.753, 0.599, 0.399)
Na (0.753, 0.798, 0.197)
Na (0.754, 0.000, 0.000)
B (0.000, 0.056, 0.267)
B (0.000, 0.267, 0.056)
B (0.000, 0.331, 0.331)
B (0.000, 0.464, 0.864)
B (0.000, 0.682, 0.682)
B (0.000, 0.864, 0.464)
B (0.500, 0.066, 0.267)
B (0.500, 0.130, 0.542)
B (0.500, 0.267, 0.066)
B (0.500, 0.330, 0.330)
B (0.500, 0.542, 0.130)
B (0.500, 0.682, 0.682)
B (0.500, 0.710, 0.927)
B (0.500, 0.927, 0.710)
C (0.000, 0.123, 0.529)
C (0.000, 0.529, 0.123)
C (0.000, 0.730, 0.933)
C (0.000, 0.933, 0.730)
C (0.500, 0.457, 0.861)
C (0.500, 0.861, 0.457)

Most intense lines, 2θ = 10–80°, most intense first:
| d/Å | intensity |
| --- | --- |
| 2.168 | 100 |
| 2.157 | 51 |
| 2.142 | 38 |
| 2.514 | 19 |
| 1.445 | 17 |
| 1.241 | 12 |
| 1.206 | 11 |
| 1.630 | 10 |
| 1.455 | 9 |
| 2.497 | 9 |



No. 8
For Dy3Y, a DFT-relaxed cell (PBE, Alexandria) gives the theoretical PXRD pattern in this record (Cu Kα (λ = 1.5418 Å)).
Kinematic intensities with the Lorentz-polarization factor, no thermal factor.

Crystal structure
Cell lengths 3.548, 5.019, 7.098 Å; angles 90.00, 90.00, 90.00 degrees
Atoms (fractional coordinates):
Dy (0.000, 0.000, 0.000)
Dy (0.500, 0.500, 0.249)
Dy (0.500, 0.500, 0.751)
Y (0.000, 0.000, 0.500)

Most intense lines, 2θ = 10–80°, most intense first:
| d/Å | intensity |
| --- | --- |
| 2.897 | 100 |
| 2.509 | 51 |
| 1.513 | 42 |
| 1.774 | 36 |
| 1.449 | 12 |
| 1.255 | 6 |
| 7.098 | 3 |
| 4.098 | 2 |
| 5.019 | 1 |
| 2.682 | 1 |



No. 9
For Cs2GeIBr5, a DFT-relaxed cell (PBE, Alexandria) gives the theoretical PXRD pattern in this record (Cu Kα (λ = 1.5418 Å)).
Kinematic intensities with the Lorentz-polarization factor, no thermal factor.

Crystal structure
Cell lengths 7.898, 7.898, 7.898 Å; angles 118.93, 118.93, 91.86 degrees
Atoms (fractional coordinates):
Cs (0.000, 0.500, 0.500)
Cs (0.500, 0.000, 0.500)
Ge (0.248, 0.248, 0.000)
I (0.500, 0.500, 0.000)
Br (0.020, 0.020, 0.000)
Br (0.025, 0.025, 0.552)
Br (0.025, 0.473, 0.000)
Br (0.473, 0.025, 0.000)
Br (0.473, 0.473, 0.448)

Most intense lines, 2θ = 10–80°, most intense first:
| d/Å | intensity |
| --- | --- |
| 3.240 | 100 |
| 2.837 | 50 |
| 1.973 | 33 |
| 1.706 | 25 |
| 2.747 | 24 |
| 6.480 | 23 |
| 2.006 | 17 |
| 1.620 | 16 |
| 1.666 | 13 |
| 1.282 | 10 |



No. 10
For TmInPb3, a DFT-relaxed cell (PBE, Alexandria) gives the theoretical PXRD pattern in this record (Cu Kα (λ = 1.5418 Å)).
Kinematic intensities with the Lorentz-polarization factor, no thermal factor.

Crystal structure
Cell lengths 6.035, 6.035, 7.976 Å; angles 130.31, 130.31, 42.97 degrees
Atoms (fractional coordinates):
Tm (0.000, 0.000, 0.000)
In (0.793, 0.793, 0.193)
Pb (0.208, 0.208, 0.831)
Pb (0.387, 0.387, 0.590)
Pb (0.601, 0.601, 0.404)

Most intense lines, 2θ = 10–80°, most intense first:
| d/Å | intensity |
| --- | --- |
| 2.806 | 100 |
| 2.766 | 97 |
| 2.537 | 75 |
| 1.667 | 43 |
| 2.210 | 26 |
| 1.517 | 15 |
| 1.497 | 15 |
| 1.519 | 14 |
| 1.500 | 14 |
| 1.816 | 13 |



No. 11
For LaAl6S8, a DFT-relaxed cell (PBE, Alexandria) gives the theoretical PXRD pattern in this record (Cu Kα (λ = 1.5418 Å)).
Kinematic intensities with the Lorentz-polarization factor, no thermal factor.

Crystal structure
Cell lengths 6.726, 6.726, 6.726 Å; angles 93.50, 93.50, 93.50 degrees
Atoms (fractional coordinates):
La (0.000, 0.000, 0.000)
Al (0.252, 0.339, 0.613)
Al (0.339, 0.613, 0.252)
Al (0.387, 0.748, 0.661)
Al (0.613, 0.252, 0.339)
Al (0.661, 0.387, 0.748)
Al (0.748, 0.661, 0.387)
S (0.085, 0.783, 0.385)
S (0.217, 0.615, 0.915)
S (0.269, 0.269, 0.269)
S (0.385, 0.085, 0.783)
S (0.615, 0.915, 0.217)
S (0.731, 0.731, 0.731)
S (0.783, 0.385, 0.085)
S (0.915, 0.217, 0.615)

Most intense lines, 2θ = 10–80°, most intense first:
| d/Å | intensity |
| --- | --- |
| 2.829 | 100 |
| 3.077 | 97 |
| 2.921 | 95 |
| 2.080 | 75 |
| 2.297 | 72 |
| 2.032 | 54 |
| 4.590 | 53 |
| 4.899 | 47 |
| 6.700 | 45 |
| 2.765 | 42 |



No. 12
For LaNiIr4, a DFT-relaxed cell (PBE, Alexandria) gives the theoretical PXRD pattern in this record (Cu Kα (λ = 1.5418 Å)).
Kinematic intensities with the Lorentz-polarization factor, no thermal factor.

Crystal structure
Cell lengths 7.808, 3.945, 6.620 Å; angles 90.00, 90.00, 90.00 degrees
Atoms (fractional coordinates):
La (0.250, 0.000, 0.123)
La (0.750, 0.000, 0.877)
Ni (0.250, 0.000, 0.726)
Ni (0.750, 0.000, 0.274)
Ir (0.000, 0.000, 0.500)
Ir (0.040, 0.500, 0.793)
Ir (0.250, 0.500, 0.474)
Ir (0.460, 0.500, 0.793)
Ir (0.500, 0.000, 0.500)
Ir (0.540, 0.500, 0.207)
Ir (0.750, 0.500, 0.526)
Ir (0.960, 0.500, 0.207)

Most intense lines, 2θ = 10–80°, most intense first:
| d/Å | intensity |
| --- | --- |
| 2.126 | 100 |
| 2.559 | 93 |
| 1.973 | 33 |
| 6.620 | 26 |
| 2.207 | 24 |
| 1.952 | 21 |
| 2.412 | 18 |
| 1.387 | 14 |
| 1.471 | 14 |
| 2.422 | 13 |



No. 13
For Rb2TmMnS4, a DFT-relaxed cell (PBE, Alexandria) gives the theoretical PXRD pattern in this record (Cu Kα (λ = 1.5418 Å)).
Kinematic intensities with the Lorentz-polarization factor, no thermal factor.

Crystal structure
Cell lengths 8.383, 8.383, 8.383 Å; angles 122.36, 121.27, 86.89 degrees
Atoms (fractional coordinates):
Rb (0.000, 0.000, 0.000)
Rb (0.500, 0.000, 0.000)
Rb (0.500, 0.000, 0.500)
Rb (0.500, 0.500, 0.500)
Tm (0.000, 0.500, 0.500)
Tm (0.500, 0.500, 0.000)
Mn (0.000, 0.000, 0.500)
Mn (0.000, 0.500, 0.000)
S (0.168, 0.734, 0.434)
S (0.199, 0.266, 0.934)
S (0.239, 0.275, 0.536)
S (0.239, 0.703, 0.964)
S (0.761, 0.297, 0.036)
S (0.761, 0.725, 0.464)
S (0.801, 0.734, 0.066)
S (0.832, 0.266, 0.566)

Most intense lines, 2θ = 10–80°, most intense first:
| d/Å | intensity |
| --- | --- |
| 2.882 | 100 |
| 2.092 | 76 |
| 3.043 | 63 |
| 3.407 | 49 |
| 3.367 | 43 |
| 6.733 | 32 |
| 1.754 | 22 |
| 1.683 | 19 |
| 1.346 | 18 |
| 2.021 | 18 |